1.
# UTe3
Calculated powder diffraction line list, λ = 1.5418 Å (Cu Kα). Input: a structure optimized by DFT (PBE).

```
8
Lattice="6.0325 0.0000 0.0000 0.0000 4.2275 0.0000 -1.3100 0.0000 10.4946" Properties=species:S:1:pos:R:3 pbc="T T T"
U 0.8685 1.0569 3.6277
U 3.8539 3.1706 6.8668
Te -0.7292 1.0569 8.6499
Te 0.8508 3.1706 5.9076
Te 2.2423 3.1706 1.7137
Te 2.4801 1.0569 8.7808
Te 3.8717 1.0569 4.5870
Te 5.4517 3.1706 1.8446
```

Principal peaks in the range 2θ = 10–80°, sorted by position:
d 3.292, rel. 100
d 2.791, rel. 29
d 2.443, rel. 16
d 2.434, rel. 24
d 2.304, rel. 17
d 2.114, rel. 20

2.
# Li2SiAu
Calculated powder diffraction line list, λ = 1.5418 Å (Cu Kα). Input: a structure optimized by DFT (PBE).

```
16
Lattice="6.0964 0.0000 0.0000 0.0000 6.0964 0.0000 0.0000 0.0000 6.0964" Properties=species:S:1:pos:R:3 pbc="T T T"
Li 0.0000 0.0000 0.0000
Li 0.0000 3.0482 3.0482
Li 1.5241 1.5241 1.5241
Li 1.5241 4.5723 4.5723
Li 3.0482 0.0000 3.0482
Li 3.0482 3.0482 0.0000
Li 4.5723 1.5241 4.5723
Li 4.5723 4.5723 1.5241
Si 1.5241 1.5241 4.5723
Si 1.5241 4.5723 1.5241
Si 4.5723 1.5241 1.5241
Si 4.5723 4.5723 4.5723
Au 0.0000 0.0000 3.0482
Au 0.0000 3.0482 0.0000
Au 3.0482 0.0000 0.0000
Au 3.0482 3.0482 3.0482
```

Principal peaks in the range 2θ = 10–80°, sorted by position:
d 3.520, rel. 100
d 3.048, rel. 39
d 2.155, rel. 60
d 1.838, rel. 50
d 1.399, rel. 21
d 1.244, rel. 21

3.
# K3Ba2Pr2Bi3O15
Calculated powder diffraction line list, λ = 1.5418 Å (Cu Kα). Input: a structure optimized by DFT (PBE).

```
50
Lattice="3.1433 1.8148 25.6214 -3.1433 1.8148 25.6214 0.0000 -3.6295 25.6214" Properties=species:S:1:pos:R:3 pbc="T T T"
K 0.0000 0.0000 3.7494
K 0.0000 0.0000 26.8519
K 0.0000 0.0000 34.5722
K 0.0000 0.0000 42.2920
K 0.0000 0.0000 50.0123
K 0.0000 0.0000 73.1148
Ba 0.0000 0.0000 11.5159
Ba 0.0000 0.0000 19.2924
Ba 0.0000 0.0000 57.5717
Ba 0.0000 0.0000 65.3482
Pr 0.0000 0.0000 15.4191
Pr 0.0000 0.0000 30.6371
Pr 0.0000 0.0000 46.2270
Pr 0.0000 0.0000 61.4451
Bi 0.0000 0.0000 0.0000
Bi 0.0000 0.0000 7.6456
Bi 0.0000 0.0000 23.1257
Bi 0.0000 0.0000 38.4321
Bi 0.0000 0.0000 53.7384
Bi 0.0000 0.0000 69.2186
O -1.6918 -0.9768 29.3942
O 0.0000 -1.9157 16.7269
O -1.6591 0.9579 16.7269
O 0.0000 -1.8143 24.3783
O -1.5712 0.9072 24.3783
O -1.5419 -0.8902 37.2679
O -1.6337 -0.9432 44.8087
O 0.0000 -1.8864 32.0555
O -1.6337 0.9432 32.0555
O -1.5712 -0.9072 52.4858
O 0.0000 -1.7804 39.5963
O -1.5419 0.8902 39.5963
O -1.6591 -0.9579 60.1373
O 0.0000 -1.9535 47.4700
O -1.6918 0.9768 47.4700
O 1.6918 -0.9768 29.3942
O 0.0000 1.9535 29.3942
O 1.6591 0.9579 16.7268
O 1.5419 -0.8902 37.2679
O 0.0000 1.7804 37.2679
O 1.5712 0.9072 24.3784
O 1.6337 -0.9432 44.8087
O 0.0000 1.8864 44.8087
O 1.6337 0.9432 32.0555
O 1.5419 0.8902 39.5963
O 1.5712 -0.9072 52.4859
O 0.0000 1.8143 52.4859
O 1.6591 -0.9579 60.1373
O 0.0000 1.9157 60.1373
O 1.6918 0.9768 47.4700
```

Principal peaks in the range 2θ = 10–80°, sorted by position:
d 4.443, rel. 29
d 3.142, rel. 100
d 2.221, rel. 31
d 1.814, rel. 42
d 1.571, rel. 19
d 1.405, rel. 18

4.
# SiO2
Calculated powder diffraction line list, λ = 1.5418 Å (Cu Kα). Input: a structure optimized by DFT (PBE).

```
60
Lattice="9.4296 0.0000 0.0000 -0.6539 11.2705 0.0000 -3.7228 -3.2840 12.1203" Properties=species:S:1:pos:R:3 pbc="T T T"
Si 0.1487 2.6167 0.9419
Si -1.0832 5.2462 4.5507
Si -1.4585 5.3043 7.5722
Si -2.1388 7.0976 10.0187
Si -1.5397 1.6509 9.9007
Si 1.4070 6.7776 0.2974
Si -1.2641 -1.3139 11.0167
Si 1.3639 4.8318 2.8316
Si 0.6761 3.7063 9.2176
Si -0.0284 5.4664 11.6876
Si 5.0813 2.5200 0.4328
Si 4.3768 4.2801 2.9028
Si 3.6890 3.1546 9.2887
Si 6.3170 9.3003 1.1036
Si 3.6460 1.2089 11.8229
Si 6.5927 6.3355 2.2196
Si 7.1917 0.8888 2.1016
Si 6.5115 2.6821 4.5481
Si 6.1361 2.7402 7.5696
Si 4.9042 5.3697 11.1784
O -2.7056 4.2593 7.6445
O -3.5668 6.5203 10.5467
O -2.5071 1.7732 8.6066
O 0.0709 7.6759 0.0375
O -1.2407 5.8370 6.0551
O -1.8104 6.5810 8.5104
O 1.3446 1.9264 0.0861
O -1.5430 -2.5511 9.9990
O -2.1768 2.4218 11.1921
O 0.8026 3.4560 2.1704
O -1.3650 0.0782 10.1997
O 0.4852 5.2243 4.1391
O 1.2740 6.0151 1.7173
O -0.1001 4.5416 8.0576
O -0.9446 6.6243 11.0189
O -0.0930 2.3115 9.5536
O 2.7280 7.7283 0.3921
O 0.2534 -1.4612 11.5969
O 2.8761 4.6331 3.3867
O 0.7823 4.6196 10.5590
O 4.2706 3.3668 1.5614
O 2.1768 3.3533 8.7336
O 4.7995 9.4476 0.5234
O 2.3249 0.2581 11.7282
O 5.1459 5.6749 2.5667
O 5.9976 1.3621 1.1014
O 5.1530 3.4449 4.0628
O 3.7789 1.9714 10.4031
O 4.5677 2.7621 7.9812
O 6.4179 7.9082 1.9206
O 4.2503 4.5304 9.9500
O 7.2297 5.5646 0.9282
O 6.5960 10.5375 2.1213
O 3.7084 6.0600 12.0342
O 6.8633 1.4054 3.6099
O 6.2937 2.1494 6.0652
O 4.9820 0.3106 12.0829
O 7.5600 6.2132 3.5137
O 8.6197 1.4661 1.5736
O 7.7585 3.7271 4.4758
```

Principal peaks in the range 2θ = 10–80°, sorted by position:
d 8.571, rel. 100
d 6.125, rel. 49
d 4.708, rel. 49
d 3.970, rel. 50
d 3.865, rel. 50
d 3.467, rel. 56

5.
# Ca2AlH10ClO8
Calculated powder diffraction line list, λ = 1.5418 Å (Cu Kα). Input: a structure optimized by DFT (PBE).

```
44
Lattice="8.0444 -3.3599 0.0000 8.0444 3.3599 0.0000 -2.2414 0.0000 10.7178" Properties=species:S:1:pos:R:3 pbc="T T T"
Ca 3.3773 1.3502 2.0582
Ca 2.2566 -1.3502 7.4171
Ca 11.5908 1.3502 3.3007
Ca 10.4700 -1.3502 8.6596
Al 2.9015 1.6800 5.3589
Al 4.0222 -1.6800 0.0000
H -0.0341 0.3196 8.8686
H 5.9591 2.3350 5.3781
H 1.0866 -0.3196 3.5097
H 6.2210 1.8646 4.8455
H 5.2589 1.7024 9.6395
H 6.7675 2.3350 10.6986
H 8.7471 1.8646 0.5134
H 7.4677 1.7024 6.4372
H 5.1857 0.7598 8.4227
H 7.5409 0.7598 7.6540
H 6.3064 -0.7598 3.0638
H 8.6616 -0.7598 2.2951
H 6.3796 -1.7024 4.2806
H 5.1002 -1.8646 10.2044
H 7.0798 -2.3350 0.0192
H 8.5884 -1.7024 1.0783
H 7.6263 -1.8646 5.8723
H 12.7607 0.3196 7.2081
H 7.8883 -2.3350 5.3397
H 13.8814 -0.3196 1.8492
Cl 7.4840 0.8924 2.6795
Cl 6.3633 -0.8924 8.0384
O 0.5427 0.7207 9.5523
O 2.4183 0.7548 6.7390
O 4.7610 1.5809 8.8081
O 2.8671 0.1744 4.1345
O 1.7464 -0.1744 9.4934
O 1.6634 -0.7207 4.1934
O 3.5390 -0.7548 1.3801
O 7.9656 1.5809 7.2687
O 5.8818 -1.5809 3.4491
O 10.3083 0.7548 9.3377
O 12.1839 0.7207 6.5245
O 12.1009 0.1744 1.2244
O 10.9802 -0.1744 6.5833
O 9.0863 -1.5809 1.9098
O 11.4290 -0.7548 3.9788
O 13.3046 -0.7207 1.1655
```

Principal peaks in the range 2θ = 10–80°, sorted by position:
d 7.874, rel. 100
d 5.359, rel. 16
d 4.137, rel. 15
d 3.937, rel. 30
d 3.207, rel. 18
d 2.991, rel. 11

6.
# La2Ta3S2O8
Calculated powder diffraction line list, λ = 1.5418 Å (Cu Kα). Input: a structure optimized by DFT (PBE).

```
60
Lattice="9.9650 0.0000 0.0000 0.0000 11.8978 0.0000 0.0000 0.0000 7.7004" Properties=species:S:1:pos:R:3 pbc="T T T"
La 2.0622 1.9565 0.0000
La 2.2910 1.8410 3.8502
La 2.6915 7.7899 0.0000
La 2.9203 7.9054 3.8502
La 7.0447 3.9924 3.8502
La 7.2735 4.1079 0.0000
La 7.6739 10.0568 3.8502
La 7.9028 9.9413 0.0000
Ta 0.0000 5.9489 2.2055
Ta 0.0000 5.9489 5.4949
Ta 1.3591 10.9357 1.9267
Ta 1.3591 10.9357 5.7737
Ta 3.6234 4.9868 1.9235
Ta 3.6234 4.9868 5.7769
Ta 4.9825 0.0000 1.6447
Ta 4.9825 0.0000 6.0557
Ta 6.3416 6.9111 1.9235
Ta 6.3416 6.9111 5.7769
Ta 8.6058 0.9622 1.9267
Ta 8.6058 0.9622 5.7737
S 0.1782 4.1268 3.8502
S 0.1884 4.3760 0.0000
S 4.7940 10.3249 3.8502
S 4.8043 10.0757 0.0000
S 5.1607 1.8221 0.0000
S 5.1709 1.5729 3.8502
S 9.7765 7.5218 0.0000
S 9.7868 7.7710 3.8502
O 0.5598 1.2260 1.9676
O 0.5598 1.2260 5.7327
O 1.3353 11.2596 0.0000
O 1.5051 11.3122 3.8502
O 1.9629 6.2460 2.0439
O 1.9629 6.2460 5.6565
O 2.1236 9.2399 1.9254
O 2.1236 9.2399 5.7750
O 2.8589 3.2910 1.9248
O 2.8589 3.2910 5.7755
O 3.0196 0.2971 1.8063
O 3.0196 0.2971 5.8941
O 3.4773 5.3632 0.0000
O 3.6472 5.3107 3.8502
O 4.4227 7.1750 1.8826
O 4.4227 7.1750 5.8178
O 5.5423 4.7229 1.8826
O 5.5423 4.7229 5.8178
O 6.3177 6.5871 3.8502
O 6.4876 6.5346 0.0000
O 6.9454 11.6008 1.8063
O 6.9454 11.6008 5.8941
O 7.1060 8.6069 1.9248
O 7.1060 8.6069 5.7755
O 7.8414 2.6580 1.9254
O 7.8414 2.6580 5.7750
O 8.0021 5.6519 2.0439
O 8.0021 5.6519 5.6565
O 8.4598 0.5857 3.8502
O 8.6297 0.6382 0.0000
O 9.4051 10.6718 1.9676
O 9.4051 10.6718 5.7327
```

Principal peaks in the range 2θ = 10–80°, sorted by position:
d 5.949, rel. 48
d 3.232, rel. 63
d 3.199, rel. 88
d 3.075, rel. 100
d 2.951, rel. 34
d 2.850, rel. 38

7.
# ZrSn
Calculated powder diffraction line list, λ = 1.5418 Å (Cu Kα). Input: a structure optimized by DFT (PBE).

```
24
Lattice="6.7197 0.0000 0.0000 0.0000 15.6915 0.0000 0.0000 0.0000 5.3504" Properties=species:S:1:pos:R:3 pbc="T T T"
Zr 0.8262 2.3845 1.3376
Zr 0.8262 5.4613 4.0128
Zr 2.4977 10.3410 1.3376
Zr 2.4977 13.1963 4.0128
Zr 2.5221 2.7199 4.0128
Zr 2.5221 5.1259 1.3376
Zr 4.1976 10.5657 4.0128
Zr 4.1976 12.9716 1.3376
Zr 4.2221 2.4952 1.3376
Zr 4.2221 5.3506 4.0128
Zr 5.8935 10.2303 1.3376
Zr 5.8935 13.3070 4.0128
Sn 0.7771 10.7535 4.0128
Sn 0.7771 12.7838 1.3376
Sn 0.8759 0.1639 4.0128
Sn 0.8759 7.6818 1.3376
Sn 2.5313 8.0033 4.0128
Sn 2.5313 15.5340 1.3376
Sn 4.1884 0.1575 4.0128
Sn 4.1884 7.6883 1.3376
Sn 5.8438 8.0097 4.0128
Sn 5.8438 15.5276 1.3376
Sn 5.9426 2.9077 4.0128
Sn 5.9426 4.9381 1.3376
```

Principal peaks in the range 2θ = 10–80°, sorted by position:
d 2.675, rel. 32
d 2.615, rel. 24
d 2.499, rel. 100
d 1.870, rel. 18
d 1.508, rel. 21
d 1.487, rel. 13

What is the formula in the second record? Li2SiAu